[1]
CeMg2Cu9: computed powder diffractogram (Cu Kα (λ = 1.5418 Å)), based on DFT lattice parameters and positions (GGA-PBE).
Kinematic intensities with the Lorentz-polarization factor, no thermal factor.

Lattice parameters (Å, degrees): 5.0419 5.0419 16.1412 90.00 90.00 120.00
Space group P6_3/mmc (No. 194)
One atom of each set of equivalent atoms:
1 Ce 0.3333 0.6667 0.2500 (multiplicity 2)
2 Mg 0.3333 0.6667 0.0315 (multiplicity 4)
3 Cu 0.0000 0.0000 0.0000 (multiplicity 2)
4 Cu 0.0000 0.0000 0.2500 (multiplicity 2)
5 Cu 0.1679 0.3358 0.6225 (multiplicity 12)
6 Cu 0.3333 0.6667 0.7500 (multiplicity 2)

Largest 10 diffraction maxima, sorted by position, 2θ from 10° to 80°:
2theta, I/Imax, index
10.96, 34, 0 0 2
26.29, 21, 1 0 3
34.55, 20, 1 0 5
35.61, 20, 1 1 0
41.75, 39, 2 0 1
42.27, 100, 1 1 4
44.80, 16, 2 0 3
44.93, 29, 0 0 8
68.54, 22, 3 0 4
75.41, 20, 2 2 0



[2]
Ce2Mn3Cu9: computed powder diffractogram (Cu Kα (λ = 1.5418 Å)), based on DFT lattice parameters and positions (GGA-PBE).
Kinematic intensities with the Lorentz-polarization factor, no thermal factor.

Lattice parameters (Å, degrees): 4.927 9.346 8.881 90.00 90.00 90.00
Space group Cmm2 (No. 35)
One atom of each set of equivalent atoms:
1 Ce 0.000 0.000 0.000 (multiplicity 2)
2 Ce 0.000 0.500 0.494 (multiplicity 2)
3 Mn 0.000 0.000 0.298 (multiplicity 2)
4 Mn 0.000 0.500 0.188 (multiplicity 2)
5 Mn 0.000 0.500 0.805 (multiplicity 2)
6 Cu 0.000 0.000 0.689 (multiplicity 2)
7 Cu 0.000 0.193 0.497 (multiplicity 4)
8 Cu 0.000 0.304 0.997 (multiplicity 4)
9 Cu 0.250 0.250 0.248 (multiplicity 4)
10 Cu 0.250 0.250 0.746 (multiplicity 4)

Largest 10 diffraction maxima, sorted by position, 2θ from 10° to 80°:
2theta, I/Imax, index
35.56, 77, 1 3 1
36.47, 25, 2 0 0
36.70, 57, 1 1 3
38.53, 58, 0 4 0
40.63, 52, 0 0 4
41.43, 44, 2 2 0
41.94, 54, 2 0 2
46.14, 100, 1 3 3
46.41, 28, 2 2 2
72.46, 24, 3 3 3



[3]
CeCuN2: computed powder diffractogram (Cu Kα (λ = 1.5418 Å)), based on DFT lattice parameters and positions (GGA-PBE).
Kinematic intensities with the Lorentz-polarization factor, no thermal factor.

Lattice parameters (Å, degrees): 3.917 3.917 3.264 90.00 90.00 90.00
Space group P4/mmm (No. 123)
One atom of each set of equivalent atoms:
1 Ce 0.000 0.000 0.000 (multiplicity 1)
2 Cu 0.500 0.500 0.500 (multiplicity 1)
3 N 0.000 0.500 0.500 (multiplicity 2)

Largest 10 diffraction maxima, sorted by position, 2θ from 10° to 80°:
2theta, I/Imax, index
22.70, 18, 1 0 0
32.32, 50, 1 1 0
35.81, 100, 1 0 1
42.82, 13, 1 1 1
46.36, 30, 2 0 0
59.93, 43, 2 1 1
66.49, 13, 1 1 2
67.65, 9, 2 2 0
75.88, 13, 2 0 2
78.98, 9, 3 0 1



[4]
Ce2CuN2O2: computed powder diffractogram (Cu Kα (λ = 1.5418 Å)), based on DFT lattice parameters and positions (GGA-PBE).
Kinematic intensities with the Lorentz-polarization factor, no thermal factor.

Lattice parameters (Å, degrees): 3.908 3.908 11.984 90.00 90.00 90.00
Space group I4/mmm (No. 139)
One atom of each set of equivalent atoms:
1 Ce 0.000 0.000 0.140 (multiplicity 4)
2 Cu 0.000 0.000 0.500 (multiplicity 2)
3 N 0.000 0.500 0.000 (multiplicity 4)
4 O 0.000 0.500 0.250 (multiplicity 4)

Largest 10 diffraction maxima, sorted by position, 2θ from 10° to 80°:
2theta, I/Imax, index
23.95, 24, 1 0 1
32.04, 100, 1 0 3
32.40, 40, 1 1 0
44.34, 9, 1 0 5
44.61, 24, 1 1 4
46.48, 29, 2 0 0
56.88, 10, 1 1 6
57.57, 37, 2 1 3
58.89, 8, 1 0 7
67.83, 9, 2 2 0



[5]
Ce2CuN2O2: computed powder diffractogram (Cu Kα (λ = 1.5418 Å)), based on DFT lattice parameters and positions (GGA-PBE).
Kinematic intensities with the Lorentz-polarization factor, no thermal factor.

Lattice parameters (Å, degrees): 3.928 3.928 12.055 90.00 90.00 90.00
Space group I4/mmm (No. 139)
One atom of each set of equivalent atoms:
1 Ce 0.000 0.000 0.151 (multiplicity 4)
2 Cu 0.000 0.000 0.500 (multiplicity 2)
3 N 0.000 0.500 0.250 (multiplicity 4)
4 O 0.000 0.500 0.000 (multiplicity 4)

Largest 10 diffraction maxima, sorted by position, 2θ from 10° to 80°:
2theta, I/Imax, index
23.83, 16, 1 0 1
31.86, 100, 1 0 3
32.23, 35, 1 1 0
44.35, 15, 1 1 4
45.13, 8, 0 0 6
46.22, 25, 2 0 0
56.53, 15, 1 1 6
57.24, 37, 2 1 3
66.59, 10, 2 0 6
76.52, 8, 3 0 3



[6]
NaCeCuTe4: computed powder diffractogram (Cu Kα (λ = 1.5418 Å)), based on DFT lattice parameters and positions (GGA-PBE).
Kinematic intensities with the Lorentz-polarization factor, no thermal factor.

Lattice parameters (Å, degrees): 4.473 4.473 19.854 90.00 90.00 90.00
Space group P4/nmm (No. 129, origin choice 2)
One atom of each set of equivalent atoms:
1 Na 0.250 0.250 0.126 (multiplicity 2)
2 Ce 0.250 0.250 0.608 (multiplicity 2)
3 Cu 0.250 0.750 0.000 (multiplicity 2)
4 Te 0.250 0.250 0.439 (multiplicity 2)
5 Te 0.250 0.250 0.922 (multiplicity 2)
6 Te 0.250 0.750 0.268 (multiplicity 4)

Largest 10 diffraction maxima, sorted by position, 2θ from 10° to 80°:
2theta, I/Imax, index
13.38, 20, 0 0 3
26.83, 20, 1 0 4
26.94, 24, 0 0 6
29.64, 60, 1 1 2
33.62, 100, 1 1 4
40.33, 54, 2 0 0
46.51, 13, 1 1 8
49.15, 26, 2 0 6
58.35, 18, 2 2 0
69.05, 21, 3 1 4



[7]
Sr4CePr3Nb2Cu4O20: computed powder diffractogram (Cu Kα (λ = 1.5418 Å)), based on DFT lattice parameters and positions (GGA-PBE).
Kinematic intensities with the Lorentz-polarization factor, no thermal factor.

Lattice parameters (Å, degrees): 5.617 5.617 29.268 90.00 90.00 90.00
Space group Amm2 (No. 38)
One atom of each set of equivalent atoms:
1 Sr 0.000 0.000 0.000 (multiplicity 2)
2 Sr 0.000 0.000 0.162 (multiplicity 2)
3 Sr 0.500 0.000 0.498 (multiplicity 2)
4 Sr 0.500 0.000 0.662 (multiplicity 2)
5 Ce 0.500 0.000 0.373 (multiplicity 2)
6 Pr 0.000 0.000 0.286 (multiplicity 2)
7 Pr 0.000 0.000 0.876 (multiplicity 2)
8 Pr 0.500 0.000 0.786 (multiplicity 2)
9 Nb 0.000 0.000 0.580 (multiplicity 2)
10 Nb 0.500 0.000 0.080 (multiplicity 2)
11 Cu 0.000 0.000 0.438 (multiplicity 2)
12 Cu 0.000 0.000 0.723 (multiplicity 2)
13 Cu 0.500 0.000 0.223 (multiplicity 2)
14 Cu 0.500 0.000 0.938 (multiplicity 2)
15 O 0.000 0.000 0.512 (multiplicity 2)
16 O 0.000 0.000 0.649 (multiplicity 2)
17 O 0.250 0.250 0.080 (multiplicity 8)
18 O 0.250 0.250 0.227 (multiplicity 8)
19 O 0.254 0.246 0.433 (multiplicity 8)
20 O 0.257 0.243 0.333 (multiplicity 8)
21 O 0.500 0.000 0.012 (multiplicity 2)
22 O 0.500 0.000 0.149 (multiplicity 2)

Largest 10 diffraction maxima, sorted by position, 2θ from 10° to 80°:
2theta, I/Imax, index
24.19, 16, 1 1 3
31.06, 100, 1 1 7
31.86, 42, 2 0 0
43.28, 11, 0 0 14
44.72, 12, 2 0 10
45.68, 31, 2 2 0
54.74, 14, 2 0 14
56.27, 37, 3 1 7
64.74, 12, 2 2 14
66.59, 9, 4 0 0



[8]
Sr4CeSm3Nb2Cu4O20: computed powder diffractogram (Cu Kα (λ = 1.5418 Å)), based on DFT lattice parameters and positions (GGA-PBE).
Kinematic intensities with the Lorentz-polarization factor, no thermal factor.

Lattice parameters (Å, degrees): 3.939 3.939 29.086 90.00 90.00 90.00
Space group P4mm (No. 99)
One atom of each set of equivalent atoms:
1 Sr 0.000 0.000 0.000 (multiplicity 1)
2 Sr 0.000 0.000 0.163 (multiplicity 1)
3 Sr 0.500 0.500 0.494 (multiplicity 1)
4 Sr 0.500 0.500 0.658 (multiplicity 1)
5 Ce 0.000 0.000 0.872 (multiplicity 1)
6 Sm 0.000 0.000 0.287 (multiplicity 1)
7 Sm 0.500 0.500 0.370 (multiplicity 1)
8 Sm 0.500 0.500 0.784 (multiplicity 1)
9 Nb 0.000 0.000 0.578 (multiplicity 1)
10 Nb 0.500 0.500 0.079 (multiplicity 1)
11 Cu 0.000 0.000 0.435 (multiplicity 1)
12 Cu 0.000 0.000 0.721 (multiplicity 1)
13 Cu 0.500 0.500 0.222 (multiplicity 1)
14 Cu 0.500 0.500 0.934 (multiplicity 1)
15 O 0.000 0.000 0.510 (multiplicity 1)
16 O 0.000 0.000 0.647 (multiplicity 1)
17 O 0.000 0.500 0.076 (multiplicity 2)
18 O 0.000 0.500 0.224 (multiplicity 2)
19 O 0.000 0.500 0.328 (multiplicity 2)
20 O 0.000 0.500 0.432 (multiplicity 2)
21 O 0.000 0.500 0.579 (multiplicity 2)
22 O 0.000 0.500 0.729 (multiplicity 2)
23 O 0.000 0.500 0.830 (multiplicity 2)
24 O 0.000 0.500 0.926 (multiplicity 2)
25 O 0.500 0.500 0.009 (multiplicity 1)
26 O 0.500 0.500 0.146 (multiplicity 1)

Largest 10 diffraction maxima, sorted by position, 2θ from 10° to 80°:
2theta, I/Imax, index
24.39, 16, 1 0 3
31.29, 100, 1 0 7
32.14, 42, 1 1 0
43.56, 11, 0 0 14
45.07, 11, 1 1 10
46.09, 30, 2 0 0
55.15, 15, 1 1 14
56.77, 37, 2 1 7
65.28, 12, 2 0 14
67.23, 9, 2 2 0